Entry 1:
Starting from the GGA-PBE geometry in OQMD, the powder diffraction line list of Y3Mg3Ag2Au was calculated for Cu Kα.
Kinematic intensities with the Lorentz-polarization factor, no thermal factor.

Structural model:
Unit cell a=7.6009 b=7.6009 c=4.1998 alpha=90.00 beta=90.00 gamma=120.00
Space group P-62m (No. 189)
One atom of each set of equivalent atoms:
Y  0.0000  0.5921  0.0000 [3 per cell]
Mg  0.0000  0.2437  0.5000 [3 per cell]
Ag  0.3333  0.6667  0.5000 [2 per cell]
Au  0.0000  0.0000  0.0000 [1 per cell]

Principal peaks in the range 2θ = 10–90°, most intense first:
d = 2.591 Å, I = 100, hkl 2 0 1; d = 3.800 Å, I = 53, hkl 1 1 0; d = 2.141 Å, I = 48, hkl 2 1 1; d = 3.541 Å, I = 44, hkl 1 0 1; d = 2.194 Å, I = 39, hkl 3 0 0; d = 2.818 Å, I = 35, hkl 1 1 1; d = 1.421 Å, I = 28, hkl 3 2 1; d = 1.517 Å, I = 24, hkl 3 0 2; d = 2.100 Å, I = 21, hkl 0 0 2; d = 3.291 Å, I = 19, hkl 2 0 0; d = 1.674 Å, I = 15, hkl 3 1 1; d = 1.900 Å, I = 14, hkl 2 2 0

Entry 2:
Starting from the GGA-PBE geometry in OQMD, the powder diffraction line list of SmBe3 was calculated for Cu Kα.
Kinematic intensities with the Lorentz-polarization factor, no thermal factor.

Structural model:
Unit cell a=4.9852 b=4.9852 c=23.2168 alpha=90.00 beta=90.00 gamma=120.00
Space group R-3m (No. 166, hexagonal axes)
One atom of each set of equivalent atoms:
Sm  0.0000  0.0000  0.0000 [3 per cell]
Sm  0.0000  0.0000  0.1456 [6 per cell]
Be  0.0000  0.0000  0.3337 [6 per cell]
Be  0.0000  0.0000  0.5000 [3 per cell]
Be  0.0140  0.5070  0.0762 [18 per cell]

Principal peaks in the range 2θ = 10–90°, most intense first:
d = 4.245 Å, I = 100, hkl 1 0 1; d = 2.630 Å, I = 64, hkl 1 0 7; d = 2.493 Å, I = 57, hkl 1 1 0; d = 2.095 Å, I = 50, hkl 1 1 6; d = 3.869 Å, I = 33, hkl 0 0 6; d = 2.409 Å, I = 24, hkl 0 1 8; d = 2.149 Å, I = 22, hkl 0 2 1; d = 1.464 Å, I = 21, hkl 2 1 7; d = 7.739 Å, I = 17, hkl 0 0 3; d = 1.809 Å, I = 17, hkl 0 2 7; d = 1.628 Å, I = 15, hkl 2 1 1; d = 1.548 Å, I = 14, hkl 0 1 14

Entry 3:
Starting from the GGA-PBE geometry in OQMD, the powder diffraction line list of Pr3Cu2Si2Ge2Pd2 was calculated for Cu Kα.
Kinematic intensities with the Lorentz-polarization factor, no thermal factor.

Structural model:
Unit cell a=4.200 b=4.249 c=24.819 alpha=90.00 beta=90.00 gamma=90.00
Space group Immm (No. 71)
One atom of each set of equivalent atoms:
Pr  0.000  0.000  0.000 [2 per cell]
Pr  0.000  0.500  0.151 [4 per cell]
Cu  0.000  0.000  0.250 [4 per cell]
Si  0.000  0.000  0.452 [4 per cell]
Ge  0.000  0.500  0.304 [4 per cell]
Pd  0.000  0.500  0.405 [4 per cell]

Principal peaks in the range 2θ = 10–90°, most intense first:
d = 2.691 Å, I = 100, hkl 1 1 4; d = 2.709 Å, I = 51, hkl 1 0 7; d = 2.125 Å, I = 29, hkl 0 2 0; d = 2.100 Å, I = 28, hkl 2 0 0; d = 1.672 Å, I = 24, hkl 1 2 7; d = 2.313 Å, I = 20, hkl 0 1 9; d = 1.993 Å, I = 20, hkl 0 1 11; d = 1.494 Å, I = 18, hkl 2 2 0; d = 2.987 Å, I = 15, hkl 1 1 0; d = 1.446 Å, I = 14, hkl 2 1 11; d = 2.722 Å, I = 12, hkl 0 1 7; d = 1.377 Å, I = 12, hkl 1 1 16

Entry 4:
Starting from the GGA-PBE geometry in OQMD, the powder diffraction line list of BaPd4F12 was calculated for Cu Kα.
Kinematic intensities with the Lorentz-polarization factor, no thermal factor.

Structural model:
Unit cell a=8.160 b=8.160 c=8.160 alpha=90.00 beta=90.00 gamma=90.00
Space group Im-3 (No. 204)
One atom of each set of equivalent atoms:
Ba  0.000  0.000  0.000 [2 per cell]
Pd  0.250  0.250  0.250 [8 per cell]
F  0.000  0.243  0.236 [24 per cell]

Principal peaks in the range 2θ = 10–90°, most intense first:
d = 2.885 Å, I = 100, hkl 2 2 0; d = 4.080 Å, I = 78, hkl 2 0 0; d = 2.040 Å, I = 48, hkl 4 0 0; d = 5.770 Å, I = 48, hkl 1 1 0; d = 1.666 Å, I = 41, hkl 4 2 2; d = 1.825 Å, I = 30, hkl 4 2 0; d = 1.442 Å, I = 28, hkl 4 4 0; d = 1.090 Å, I = 22, hkl 6 2 4; d = 3.331 Å, I = 18, hkl 2 1 1; d = 1.290 Å, I = 18, hkl 6 2 0; d = 2.181 Å, I = 15, hkl 3 1 2; d = 1.360 Å, I = 13, hkl 4 4 2

Entry 5:
Starting from the GGA-PBE geometry in OQMD, the powder diffraction line list of Cs2RbAg3P2 was calculated for Cu Kα.
Kinematic intensities with the Lorentz-polarization factor, no thermal factor.

Structural model:
Unit cell a=6.4906 b=6.4906 c=21.4359 alpha=90.00 beta=90.00 gamma=120.00
Space group R-3m (No. 166, hexagonal axes)
One atom of each set of equivalent atoms:
Cs  0.0000  0.0000  0.0932 [6 per cell]
Rb  0.0000  0.0000  0.5000 [3 per cell]
Ag  0.0000  0.5000  0.0000 [9 per cell]
P  0.0000  0.0000  0.2592 [6 per cell]

Principal peaks in the range 2θ = 10–90°, most intense first:
d = 3.409 Å, I = 100, hkl 0 1 5; d = 2.787 Å, I = 57, hkl 0 2 1; d = 2.719 Å, I = 53, hkl 2 0 2; d = 7.145 Å, I = 39, hkl 0 0 3; d = 1.904 Å, I = 37, hkl 1 2 5; d = 2.402 Å, I = 36, hkl 1 1 6; d = 3.245 Å, I = 35, hkl 1 1 0; d = 2.955 Å, I = 35, hkl 1 1 3; d = 1.623 Å, I = 27, hkl 2 2 0; d = 2.689 Å, I = 25, hkl 1 0 7; d = 1.704 Å, I = 22, hkl 0 2 10; d = 1.939 Å, I = 20, hkl 2 0 8

Entry 6:
Starting from the GGA-PBE geometry in OQMD, the powder diffraction line list of YErPd2 was calculated for Cu Kα.
Kinematic intensities with the Lorentz-polarization factor, no thermal factor.

Structural model:
Unit cell a=4.463 b=6.907 c=5.657 alpha=90.00 beta=90.00 gamma=90.00
Space group Pmn2_1 (No. 31)
One atom of each set of equivalent atoms:
Y  0.000  0.068  0.000 [2 per cell]
Er  0.000  0.569  0.217 [2 per cell]
Pd  0.000  0.217  0.512 [2 per cell]
Pd  0.000  0.700  0.704 [2 per cell]

Principal peaks in the range 2θ = 10–90°, most intense first:
d = 2.460 Å, I = 100, hkl 1 2 1; d = 2.258 Å, I = 87, hkl 1 1 2; d = 2.731 Å, I = 76, hkl 1 2 0; d = 2.617 Å, I = 58, hkl 0 1 2; d = 2.232 Å, I = 52, hkl 2 0 0; d = 3.125 Å, I = 36, hkl 1 1 1; d = 1.698 Å, I = 31, hkl 2 1 2; d = 2.132 Å, I = 24, hkl 0 3 1; d = 1.651 Å, I = 23, hkl 0 4 1; d = 6.907 Å, I = 22, hkl 0 1 0; d = 1.327 Å, I = 22, hkl 2 4 1; d = 1.221 Å, I = 20, hkl 2 3 3

Entry 7:
Starting from the GGA-PBE geometry in OQMD, the powder diffraction line list of Ta4Re was calculated for Cu Kα.
Kinematic intensities with the Lorentz-polarization factor, no thermal factor.

Structural model:
Unit cell a=10.047 b=10.047 c=5.298 alpha=90.00 beta=90.00 gamma=90.00
Space group P4_2/mnm (No. 136)
One atom of each set of equivalent atoms:
Ta  0.038  0.365  0.000 [8 per cell]
Ta  0.065  0.258  0.500 [8 per cell]
Ta  0.179  0.821  0.247 [8 per cell]
Re  0.000  0.000  0.500 [2 per cell]
Re  0.101  0.101  0.000 [4 per cell]

Principal peaks in the range 2θ = 10–90°, most intense first:
d = 2.214 Å, I = 100, hkl 4 1 1; d = 2.437 Å, I = 83, hkl 4 1 0; d = 2.282 Å, I = 72, hkl 2 1 2; d = 2.162 Å, I = 49, hkl 3 3 1; d = 2.368 Å, I = 39, hkl 3 3 0; d = 2.343 Å, I = 32, hkl 2 0 2; d = 1.430 Å, I = 25, hkl 4 1 3; d = 1.416 Å, I = 24, hkl 3 3 3; d = 2.649 Å, I = 22, hkl 0 0 2; d = 1.444 Å, I = 18, hkl 5 3 2; d = 1.380 Å, I = 18, hkl 7 2 0; d = 1.164 Å, I = 17, hkl 4 1 4

Entry 8:
Starting from the GGA-PBE geometry in OQMD, the powder diffraction line list of Na4AlGaPd2 was calculated for Cu Kα.
Kinematic intensities with the Lorentz-polarization factor, no thermal factor.

Structural model:
Unit cell a=4.743 b=4.743 c=6.704 alpha=90.00 beta=90.00 gamma=90.00
Space group P-4m2 (No. 115)
One atom of each set of equivalent atoms:
Na  0.000  0.000  0.000 [1 per cell]
Na  0.000  0.500  0.245 [2 per cell]
Na  0.500  0.500  0.500 [1 per cell]
Al  0.000  0.000  0.500 [1 per cell]
Ga  0.500  0.500  0.000 [1 per cell]
Pd  0.000  0.500  0.742 [2 per cell]

Principal peaks in the range 2θ = 10–90°, most intense first:
d = 2.371 Å, I = 100, hkl 2 0 0; d = 3.872 Å, I = 45, hkl 1 0 1; d = 1.369 Å, I = 32, hkl 3 1 2; d = 2.022 Å, I = 22, hkl 2 1 1; d = 1.677 Å, I = 17, hkl 2 2 0; d = 3.353 Å, I = 10, hkl 1 1 0; d = 1.186 Å, I = 10, hkl 4 0 0; d = 1.539 Å, I = 9, hkl 3 0 1; d = 1.134 Å, I = 7, hkl 4 1 1; d = 1.291 Å, I = 7, hkl 3 2 1; d = 1.500 Å, I = 4, hkl 3 1 0; d = 1.936 Å, I = 3, hkl 2 0 2

Entry 9:
Starting from the GGA-PBE geometry in OQMD, the powder diffraction line list of Hf3Sc2Cd2 was calculated for Cu Kα.
Kinematic intensities with the Lorentz-polarization factor, no thermal factor.

Structural model:
Unit cell a=4.9457 b=4.9457 c=21.9408 alpha=90.00 beta=90.00 gamma=120.00
Space group R3m (No. 160, hexagonal axes)
One atom of each set of equivalent atoms:
Hf  0.0000  0.0000  0.0000 [3 per cell]
Hf  0.0000  0.0000  0.2748 [3 per cell]
Hf  0.0000  0.0000  0.6818 [3 per cell]
Sc  0.0000  0.0000  0.4106 [3 per cell]
Sc  0.0000  0.0000  0.8439 [3 per cell]
Cd  0.0000  0.0000  0.1339 [3 per cell]
Cd  0.0000  0.0000  0.5490 [3 per cell]

Principal peaks in the range 2θ = 10–90°, most intense first:
d = 2.473 Å, I = 100, hkl 1 1 0; d = 2.529 Å, I = 83, hkl 1 0 7; d = 7.314 Å, I = 35, hkl 0 0 3; d = 1.768 Å, I = 28, hkl 0 2 7; d = 1.438 Å, I = 28, hkl 2 1 7; d = 1.428 Å, I = 18, hkl 3 0 0; d = 3.990 Å, I = 15, hkl 0 1 2; d = 2.343 Å, I = 14, hkl 1 1 3; d = 2.310 Å, I = 14, hkl 0 1 8; d = 1.259 Å, I = 12, hkl 1 1 15; d = 1.111 Å, I = 12, hkl 1 3 7; d = 1.236 Å, I = 11, hkl 2 2 0

Entry 10:
Starting from the GGA-PBE geometry in OQMD, the powder diffraction line list of TmH4NCl4 was calculated for Cu Kα.
Kinematic intensities with the Lorentz-polarization factor, no thermal factor.

Structural model:
Unit cell a=7.164 b=7.164 c=14.983 alpha=90.00 beta=90.00 gamma=90.00
Space group I4_1/a (No. 88, origin choice 2)
One atom of each set of equivalent atoms:
Tm  0.000  0.250  0.125 [4 per cell]
H  0.037  0.138  0.665 [16 per cell]
N  0.000  0.250  0.625 [4 per cell]
Cl  0.174  0.021  0.219 [16 per cell]

Principal peaks in the range 2θ = 10–90°, most intense first:
d = 6.463 Å, I = 100, hkl 1 0 1; d = 4.196 Å, I = 96, hkl 1 1 2; d = 2.589 Å, I = 52, hkl 2 0 4; d = 4.097 Å, I = 32, hkl 1 0 3; d = 3.133 Å, I = 30, hkl 2 1 1; d = 2.168 Å, I = 28, hkl 3 1 2; d = 2.533 Å, I = 24, hkl 2 2 0; d = 2.697 Å, I = 21, hkl 1 2 3; d = 2.189 Å, I = 18, hkl 1 2 5; d = 1.678 Å, I = 17, hkl 1 3 6; d = 2.240 Å, I = 15, hkl 1 1 6; d = 1.970 Å, I = 15, hkl 3 2 1

Entry 11:
Starting from the GGA-PBE geometry in OQMD, the powder diffraction line list of Cu5Ag4 was calculated for Cu Kα.
Kinematic intensities with the Lorentz-polarization factor, no thermal factor.

Structural model:
Unit cell a=2.7832 b=2.7832 c=19.7451 alpha=90.00 beta=90.00 gamma=120.00
Space group P-3m1 (No. 164)
One atom of each set of equivalent atoms:
Cu  0.0000  0.0000  0.0000 [1 per cell]
Cu  0.0000  0.0000  0.3519 [2 per cell]
Cu  0.3333  0.6667  0.5497 [2 per cell]
Ag  0.3333  0.6667  0.2391 [2 per cell]
Ag  0.3333  0.6667  0.8881 [2 per cell]

Principal peaks in the range 2θ = 10–90°, most intense first:
d = 2.263 Å, I = 100, hkl 1 0 3; d = 1.945 Å, I = 51, hkl 0 1 6; d = 1.392 Å, I = 20, hkl 1 1 0; d = 2.194 Å, I = 19, hkl 0 0 9; d = 1.175 Å, I = 14, hkl 1 1 9; d = 1.185 Å, I = 11, hkl 0 2 3; d = 2.468 Å, I = 10, hkl 0 0 8; d = 2.057 Å, I = 9, hkl 0 1 5; d = 1.359 Å, I = 9, hkl 1 0 12; d = 1.440 Å, I = 8, hkl 1 0 11; d = 1.132 Å, I = 8, hkl 2 0 6; d = 1.217 Å, I = 6, hkl 0 1 14

Entry 12:
Starting from the GGA-PBE geometry in OQMD, the powder diffraction line list of TbAsN2O was calculated for Cu Kα.
Kinematic intensities with the Lorentz-polarization factor, no thermal factor.

Structural model:
Unit cell a=7.868 b=7.362 c=11.086 alpha=90.00 beta=134.64 gamma=90.00
Space group P2_1/c (No. 14)
One atom of each set of equivalent atoms:
Tb  0.052  0.250  0.023 [4 per cell]
Tb  0.445  0.731  0.466 [4 per cell]
As  0.037  0.001  0.256 [4 per cell]
As  0.480  0.505  0.217 [4 per cell]
N  0.041  0.746  0.818 [4 per cell]
N  0.213  0.549  0.704 [4 per cell]
N  0.288  0.058  0.490 [4 per cell]
N  0.460  0.242  0.778 [4 per cell]
O  0.228  0.549  0.201 [4 per cell]
O  0.268  0.042  0.974 [4 per cell]

Principal peaks in the range 2θ = 10–90°, most intense first:
d = 2.690 Å, I = 100, hkl 2 2 -2; d = 2.771 Å, I = 28, hkl 2 0 -4; d = 2.799 Å, I = 21, hkl 2 0 0; d = 1.584 Å, I = 20, hkl 4 2 -6; d = 3.939 Å, I = 13, hkl 2 0 -2; d = 1.720 Å, I = 12, hkl 2 1 2; d = 1.534 Å, I = 12, hkl 2 4 -4; d = 3.473 Å, I = 12, hkl 0 1 2; d = 1.841 Å, I = 12, hkl 0 4 0; d = 1.967 Å, I = 10, hkl 4 0 -4; d = 1.594 Å, I = 10, hkl 4 2 -2; d = 1.972 Å, I = 10, hkl 0 0 4